(1)
# KYSn
Theoretical powder diffractogram, Cu Kα (weighted mean of Kα1 and Kα2). Input: a structure optimized by DFT (GGA-PBE).
Neutral-atom scattering factors, no anomalous dispersion.

Main lines, low angle first (2θ = 5–70°):
- 2θ 20.42, I = 53.1, (1 1 1)
- 2θ 23.62, I = 9.7, (2 0 0)
- 2θ 33.65, I = 100.0, (2 2 0)
- 2θ 39.68, I = 29.7, (3 1 1)
- 2θ 48.33, I = 17.7, (4 0 0)
- 2θ 52.99, I = 13.2, (3 3 1)
- 2θ 60.18, I = 36.4, (4 2 2)
- 2θ 64.25, I = 10.0, (5 1 1)

Atomic structure:
```
data_KYSn
_chemical_formula_sum 'K4 Y4 Sn4'
_cell_length_a 7.533
_cell_length_b 7.533
_cell_length_c 7.533
_cell_angle_alpha 90.00
_cell_angle_beta 90.00
_cell_angle_gamma 90.00
_space_group_name_H-M_alt 'F -4 3 m'
_space_group_IT_number 216
_space_group_name_Hall 'F -4 2 3'
loop_
_atom_site_label
_atom_site_fract_x
_atom_site_fract_y
_atom_site_fract_z
K1 0.000 0.000 0.000
Y1 0.250 0.250 0.750
Sn1 0.000 0.000 0.500
```

---

(2)
# AlCuS2
Theoretical powder diffractogram, Cu Kα (weighted mean of Kα1 and Kα2). Input: a structure optimized by DFT (GGA-PBE).
Neutral-atom scattering factors, no anomalous dispersion.

Main lines, low angle first (2θ = 5–70°):
- 2θ 14.74, I = 32.2, (0 0 3)
- 2θ 28.97, I = 100.0, (1 0 1)
- 2θ 29.72, I = 24.0, (0 0 6)
- 2θ 30.25, I = 81.1, (0 1 2)
- 2θ 38.08, I = 34.9, (0 1 5)
- 2θ 45.62, I = 55.3, (1 0 7)
- 2θ 49.87, I = 59.0, (0 1 8)
- 2θ 50.54, I = 69.9, (1 1 0)

Atomic structure:
```
data_AlCuS2
_chemical_formula_sum 'Al3 Cu3 S6'
_cell_length_a 3.6115
_cell_length_b 3.6115
_cell_length_c 18.0334
_cell_angle_alpha 90.00
_cell_angle_beta 90.00
_cell_angle_gamma 120.00
_space_group_name_H-M_alt 'R 3 m'
_space_group_IT_number 160
_space_group_name_Hall 'R 3 -2"'
loop_
_atom_site_label
_atom_site_fract_x
_atom_site_fract_y
_atom_site_fract_z
Al1 0.0000 0.0000 0.0000
Cu1 0.0000 0.0000 0.1434
S1 0.0000 0.0000 0.2685
S2 0.0000 0.0000 0.7493
```

---

(3)
# LiSi3
Theoretical powder diffractogram, Cu Kα (weighted mean of Kα1 and Kα2). Input: a structure optimized by DFT (GGA-PBE).
Neutral-atom scattering factors, no anomalous dispersion.

Main lines, low angle first (2θ = 5–70°):
- 2θ 18.93, I = 26.0, (1 0 0)
- 2θ 27.13, I = 19.1, (1 0 1)
- 2θ 38.40, I = 23.8, (2 0 0)
- 2θ 39.07, I = 31.0, (0 0 2)
- 2θ 43.30, I = 100.0, (2 0 1)
- 2θ 55.57, I = 10.7, (2 1 1)
- 2θ 55.95, I = 15.3, (2 0 2)
- 2θ 69.46, I = 15.3, (2 2 0)

Atomic structure:
```
data_LiSi3
_chemical_formula_sum 'Li2 Si6'
_cell_length_a 5.4130
_cell_length_b 5.4130
_cell_length_c 4.6106
_cell_angle_alpha 90.00
_cell_angle_beta 90.00
_cell_angle_gamma 120.00
_space_group_name_H-M_alt 'P 63/m m c'
_space_group_IT_number 194
_space_group_name_Hall '-P 6c 2c'
loop_
_atom_site_label
_atom_site_fract_x
_atom_site_fract_y
_atom_site_fract_z
Li1 0.3333 0.6667 0.2500
Si1 0.1575 0.3150 0.7500
```

---

(4)
# MnCd4S5
Theoretical powder diffractogram, Cu Kα (weighted mean of Kα1 and Kα2). Input: a structure optimized by DFT (GGA-PBE).
Neutral-atom scattering factors, no anomalous dispersion.

Main lines, low angle first (2θ = 5–70°):
- 2θ 24.72, I = 65.2, (2 0 0)
- 2θ 26.35, I = 45.5, (0 0 2)
- 2θ 28.07, I = 100.0, (1 5 -1)
- 2θ 36.44, I = 29.9, (2 0 2)
- 2θ 43.53, I = 52.1, (3 5 0)
- 2θ 47.58, I = 53.0, (1 5 3)
- 2θ 51.61, I = 26.5, (3 5 2)
- 2θ 66.45, I = 18.3, (4 0 3)

Atomic structure:
```
data_MnCd4S5
_chemical_formula_sum 'Mn4 Cd16 S20'
_cell_length_a 7.204
_cell_length_b 20.790
_cell_length_c 6.764
_cell_angle_alpha 90.00
_cell_angle_beta 90.04
_cell_angle_gamma 90.00
_space_group_name_H-M_alt 'C 1 m 1'
_space_group_IT_number 8
loop_
_space_group_symop_operation_xyz
'x,y,z'
'x,-y,z'
'x+1/2,y+1/2,z'
'x+1/2,-y+1/2,z'
loop_
_atom_site_label
_atom_site_fract_x
_atom_site_fract_y
_atom_site_fract_z
Mn1 0.000 0.201 0.000
Cd1 0.000 0.397 0.002
Cd2 0.003 0.000 0.001
Cd3 0.165 0.101 0.498
Cd4 0.167 0.500 0.500
Cd5 0.170 0.299 0.497
S1 0.000 0.200 0.641
S2 0.001 0.399 0.622
S3 0.002 0.000 0.622
S4 0.159 0.105 0.118
S5 0.165 0.500 0.122
S6 0.176 0.295 0.115
```

---

(5)
# YMg
Theoretical powder diffractogram, Cu Kα (weighted mean of Kα1 and Kα2). Input: a structure optimized by DFT (GGA-PBE).
Neutral-atom scattering factors, no anomalous dispersion.

Main lines, low angle first (2θ = 5–70°):
- 2θ 24.74, I = 60.2, (1 1 1)
- 2θ 28.64, I = 100.0, (2 0 0)
- 2θ 40.95, I = 74.0, (2 2 0)
- 2θ 48.43, I = 28.0, (3 1 1)
- 2θ 50.73, I = 26.0, (2 2 2)
- 2θ 59.29, I = 12.0, (4 0 0)
- 2θ 65.23, I = 11.2, (3 3 1)
- 2θ 67.15, I = 32.5, (4 2 0)

Atomic structure:
```
data_YMg
_chemical_formula_sum 'Y4 Mg4'
_cell_length_a 6.234
_cell_length_b 6.234
_cell_length_c 6.234
_cell_angle_alpha 90.00
_cell_angle_beta 90.00
_cell_angle_gamma 90.00
_space_group_name_H-M_alt 'F m -3 m'
_space_group_IT_number 225
_space_group_name_Hall '-F 4 2 3'
loop_
_atom_site_label
_atom_site_fract_x
_atom_site_fract_y
_atom_site_fract_z
Y1 0.000 0.000 0.000
Mg1 0.000 0.000 0.500
```